(1)
Simulated XRD peak list of K2AsCl5F for Cu Kα, 1.54184 Å, from DFT lattice parameters and positions (PBE).

Main lines, by angle (2θ = 15–90°):
2θ 15.5, d = 5.715 Å, intensity 100; 2θ 25.5, d = 3.486 Å, intensity 40; 2θ 31.3, d = 2.858 Å, intensity 78; 2θ 36.0, d = 2.494 Å, intensity 82; 2θ 36.9, d = 2.438 Å, intensity 35; 2θ 52.5, d = 1.743 Å, intensity 45

```
9
Lattice="-3.5270 3.5270 4.8753 3.5270 -3.5270 4.8753 3.5270 3.5270 -4.8753" Properties=species:S:1:pos:R:3 pbc="T T T"
K 3.5270 0.0000 0.0000
K 0.0000 3.5270 0.0000
As 0.0000 0.0000 2.4535
Cl 0.0000 0.0000 0.0077
Cl 1.8293 1.8293 -2.4004
Cl 1.6977 -1.6977 2.4750
Cl -1.6977 1.6977 2.4750
Cl 1.6977 1.6977 2.4750
F 0.0000 0.0000 4.3185
```


(2)
Simulated XRD peak list of AsPCl3OF5 for Cu Kα, 1.54184 Å, from DFT lattice parameters and positions (PBE).

Main lines, by angle (2θ = 15–90°):
2θ 18.4, d = 4.809 Å, intensity 100; 2θ 21.2, d = 4.196 Å, intensity 11; 2θ 23.6, d = 3.772 Å, intensity 60; 2θ 23.8, d = 3.742 Å, intensity 15; 2θ 24.3, d = 3.658 Å, intensity 13; 2θ 32.1, d = 2.791 Å, intensity 12

```
44
Lattice="6.2301 0.0000 0.0000 0.0000 19.2650 0.0000 -2.3698 0.0000 7.5277" Properties=species:S:1:pos:R:3 pbc="T T T"
As -0.2094 2.4543 1.4444
As -1.3943 7.1782 5.2082
As 5.2546 12.0868 2.3195
As 4.0697 16.8107 6.0833
P 0.6956 11.8252 5.0688
P 1.8805 17.0723 1.3050
P 1.9799 2.1927 6.2226
P 3.1648 7.4398 2.4588
Cl -0.7393 12.1127 6.3921
Cl 0.4456 16.7848 2.6282
Cl 0.7695 0.8211 5.5104
Cl 1.9544 8.8114 1.7466
Cl 0.9697 3.8778 6.3437
Cl 2.1546 5.7547 2.5798
Cl 1.7057 13.5103 4.9478
Cl 2.8906 15.3872 1.1840
Cl 1.9060 10.4536 5.7811
Cl 3.0909 18.4439 2.0172
Cl 3.4148 2.4802 4.8994
Cl 4.5996 7.1523 1.1356
O 0.1793 11.3274 3.7303
O -1.0056 17.5701 7.4941
O 4.8659 1.6949 0.0336
O 3.6810 7.9376 3.7974
F 0.0329 3.8827 0.4377
F -1.1520 5.7498 4.2015
F -0.5569 0.9668 2.3189
F -1.7418 8.6657 6.0827
F 0.4781 12.8150 1.6469
F -0.7068 16.0825 5.4108
F 1.1407 1.6670 0.6405
F -0.0442 7.9655 4.4043
F 0.8036 3.0771 2.7339
F -0.3813 6.5554 6.4977
F 4.2416 12.7096 1.0299
F 3.0567 16.1879 4.7937
F 3.9046 11.2995 3.1234
F 2.7197 17.5980 6.8872
F 4.5672 3.1825 2.1169
F 3.3823 6.4500 5.8807
F 5.6021 10.5993 1.4449
F 4.4172 18.2982 5.2087
F 5.0123 13.5152 3.3261
F 3.8274 15.3823 7.0900
```


(3)
Simulated XRD peak list of Rb2AsCl5F for Cu Kα, 1.54184 Å, from DFT lattice parameters and positions (PBE).

Main lines, by angle (2θ = 15–90°):
2θ 15.2, d = 5.843 Å, intensity 59; 2θ 24.9, d = 3.578 Å, intensity 94; 2θ 30.6, d = 2.922 Å, intensity 87; 2θ 35.5, d = 2.530 Å, intensity 100; 2θ 43.8, d = 2.066 Å, intensity 39; 2θ 51.1, d = 1.789 Å, intensity 63

```
9
Lattice="-3.5781 3.5781 5.0603 3.5781 -3.5781 5.0603 3.5781 3.5781 -5.0603" Properties=species:S:1:pos:R:3 pbc="T T T"
Rb 3.5781 0.0000 0.0000
Rb 0.0000 3.5781 0.0000
As 0.0000 0.0000 2.5257
Cl 1.8777 1.8777 -2.5615
Cl 1.7004 -1.7004 2.4988
Cl -1.7004 1.7004 2.4988
Cl 1.7004 1.7004 2.4988
Cl 0.0000 0.0000 4.9956
F 0.0000 0.0000 0.6619
```


(4)
Simulated XRD peak list of AsS3Cl3F6 for Cu Kα, 1.54184 Å, from DFT lattice parameters and positions (PBE).

Main lines, by angle (2θ = 15–90°):
2θ 18.7, d = 4.738 Å, intensity 100; 2θ 19.1, d = 4.636 Å, intensity 96; 2θ 21.2, d = 4.189 Å, intensity 62; 2θ 22.4, d = 3.968 Å, intensity 79; 2θ 23.4, d = 3.800 Å, intensity 100; 2θ 24.8, d = 3.584 Å, intensity 61

```
26
Lattice="7.9379 0.0000 0.0000 3.8143 7.6043 0.0000 3.8197 -0.3138 9.5550" Properties=species:S:1:pos:R:3 pbc="T T T"
As 3.5220 1.8664 2.3886
As 12.0498 5.4240 7.1663
S 4.9245 1.0154 8.6308
S 6.8979 4.9244 4.0659
S 8.4606 5.2672 5.0524
S 7.1113 2.0232 4.5025
S 8.6739 2.3660 5.4890
S 10.6473 6.2751 0.9242
Cl 4.2222 1.0569 6.7754
Cl 8.0945 5.6285 9.3238
Cl 7.2599 5.0012 2.0288
Cl 8.3120 2.2892 7.5262
Cl 7.4773 1.6620 0.2311
Cl 11.3496 6.2336 2.7796
F 5.5564 4.4619 6.7965
F 3.2533 0.8879 3.8498
F 2.5193 0.7299 1.4495
F 4.5230 2.9966 3.3196
F 3.7895 2.8300 0.9211
F 4.9748 0.9009 2.0205
F 10.5970 6.3896 7.5344
F 11.7824 4.4604 8.6339
F 11.0489 4.2939 6.2354
F 13.0525 6.5605 8.1055
F 12.3185 6.4026 5.7051
F 10.0154 2.8285 2.7584
```


(5)
Simulated XRD peak list of AsSeCl3F6 for Cu Kα, 1.54184 Å, from DFT lattice parameters and positions (PBE).

Main lines, by angle (2θ = 15–90°):
2θ 17.4, d = 5.100 Å, intensity 66; 2θ 18.1, d = 4.897 Å, intensity 75; 2θ 19.6, d = 4.525 Å, intensity 65; 2θ 21.9, d = 4.060 Å, intensity 100; 2θ 22.8, d = 3.904 Å, intensity 57; 2θ 27.1, d = 3.296 Å, intensity 50

```
44
Lattice="7.8819 0.0000 0.0000 0.0000 9.7933 0.0000 -1.6612 0.0000 11.9640" Properties=species:S:1:pos:R:3 pbc="T T T"
As 1.3284 2.2507 0.9339
As 0.4978 2.6459 6.9159
As 5.7229 7.1474 5.0481
As 4.8924 7.5425 11.0301
Se 0.3289 6.6138 8.3037
Se 1.1595 8.0761 2.3216
Se 5.0612 1.7172 9.6424
Se 5.8918 3.1795 3.6604
Cl 1.3055 6.0227 2.9209
Cl 0.4749 8.6672 8.9029
Cl 0.8652 5.6010 10.1140
Cl 1.6957 9.0889 4.1320
Cl 2.1722 6.4710 7.2125
Cl 3.0028 8.2189 1.2305
Cl 3.2180 1.5744 10.7335
Cl 4.0485 3.3223 4.7515
Cl 4.5250 0.7044 7.8320
Cl 5.3556 4.1923 1.8500
Cl 5.7458 1.1261 3.0611
Cl 4.9152 3.7705 9.0431
F 0.1451 7.1405 0.0087
F -0.6855 7.5494 5.9908
F 0.5711 0.6722 1.3491
F -0.2595 4.2244 7.3311
F -0.2829 1.9353 8.3577
F 0.5477 2.9613 2.3757
F 0.3680 1.5150 11.4518
F 1.1986 3.3817 5.4698
F 1.2008 1.0827 6.5119
F 2.0313 3.8139 0.5299
F 2.7414 1.8156 1.8890
F 1.9108 3.0810 7.8710
F 4.3099 6.7123 4.0930
F 3.4793 7.9776 10.0750
F 4.1894 5.9794 11.4341
F 5.0200 8.7105 5.4521
F 5.0222 6.4116 6.4942
F 5.8528 8.2783 0.5122
F 5.6730 6.8319 9.5883
F 6.5036 7.8580 3.6063
F 6.4802 5.5689 4.6329
F 5.6496 9.1210 10.6149
F 6.9062 2.2439 5.9733
F 6.0756 2.6527 11.9553
```


(6)
Simulated XRD peak list of AsSe3Cl3F6 for Cu Kα, 1.54184 Å, from DFT lattice parameters and positions (PBE).

Main lines, by angle (2θ = 15–90°):
2θ 18.3, d = 4.846 Å, intensity 100; 2θ 21.1, d = 4.218 Å, intensity 34; 2θ 23.1, d = 3.845 Å, intensity 36; 2θ 23.8, d = 3.737 Å, intensity 39; 2θ 24.4, d = 3.645 Å, intensity 44; 2θ 44.5, d = 2.036 Å, intensity 26

```
52
Lattice="12.6665 0.0000 0.0000 0.0000 8.0663 0.0000 -3.1524 0.0000 12.0900" Properties=species:S:1:pos:R:3 pbc="T T T"
As 1.3733 1.6717 5.9687
As -0.2029 2.3614 12.0137
As 9.7170 5.7048 0.0763
As 8.1408 6.3945 6.1213
Se 1.1156 4.6131 2.7920
Se -0.4606 7.4863 8.8370
Se 3.1175 5.1708 4.4180
Se 1.5413 6.9286 10.4630
Se 2.4533 5.1328 9.5432
Se 4.0295 6.9666 3.4982
Se 5.4846 1.0997 8.5919
Se 7.0608 2.9334 2.5469
Se 7.9728 1.1377 1.6270
Se 6.3966 2.8955 7.6720
Se 9.9748 0.5800 3.2530
Se 8.3986 3.4532 9.2980
Cl -0.5499 5.2861 3.9929
Cl -2.1261 6.8133 10.0379
Cl -0.1837 5.8028 7.5525
Cl 1.3925 6.2966 1.5075
Cl 3.9278 5.8846 8.0637
Cl 5.5040 6.2148 2.0187
Cl 4.0102 1.8514 10.0713
Cl 5.5864 2.1817 4.0263
Cl 8.1217 1.7697 10.5825
Cl 9.6979 2.2634 4.5375
Cl 11.6402 1.2530 2.0521
Cl 10.0640 2.7801 8.0972
F 0.2038 0.4994 5.3547
F -1.3724 3.5338 11.3997
F 1.6274 1.3557 0.5347
F 0.0512 2.6774 6.5797
F -0.2654 1.4867 10.4394
F 1.3108 2.5464 4.3944
F 1.4487 0.7926 7.5259
F 3.0249 3.2406 1.4809
F 2.7070 0.6827 5.3480
F 1.1308 3.3504 11.3930
F 4.1201 1.1769 0.5229
F 2.5439 2.8563 6.5679
F 6.9702 5.2100 5.5221
F 5.3940 6.8894 11.5672
F 8.3834 4.7158 0.6970
F 6.8072 7.3836 6.7420
F 6.4892 4.8257 10.6091
F 8.0654 7.2737 4.5641
F 8.2033 5.5199 7.6957
F 9.7795 6.5795 1.6507
F 9.4629 5.3888 5.5104
F 7.8867 6.7106 11.5554
F 10.8866 4.5325 0.6903
F 9.3104 7.5669 6.7353
```


(7)
Simulated XRD peak list of FeAsCl4 for Cu Kα, 1.54184 Å, from DFT lattice parameters and positions (PBE).

Main lines, by angle (2θ = 15–90°):
2θ 31.1, d = 2.873 Å, intensity 52; 2θ 36.7, d = 2.450 Å, intensity 100; 2θ 38.4, d = 2.346 Å, intensity 21; 2θ 55.4, d = 1.659 Å, intensity 19; 2θ 59.1, d = 1.564 Å, intensity 30; 2θ 64.9, d = 1.437 Å, intensity 22

```
6
Lattice="0.0000 4.0633 4.0633 4.0633 0.0000 4.0633 4.0633 4.0633 0.0000" Properties=species:S:1:pos:R:3 pbc="T T T"
Fe 0.0000 0.0000 0.0000
As 6.0949 6.0949 6.0949
Cl 3.0413 3.0413 3.0413
Cl 5.0852 5.0852 3.0413
Cl 5.0852 3.0413 5.0852
Cl 3.0413 5.0852 5.0852
```


(8)
Simulated XRD peak list of FeAsRh2Cl for Cu Kα, 1.54184 Å, from DFT lattice parameters and positions (PBE).

Main lines, by angle (2θ = 15–90°):
2θ 34.4, d = 2.608 Å, intensity 100; 2θ 36.8, d = 2.439 Å, intensity 31; 2θ 41.4, d = 2.182 Å, intensity 44; 2θ 56.6, d = 1.626 Å, intensity 35; 2θ 71.0, d = 1.328 Å, intensity 23; 2θ 72.5, d = 1.304 Å, intensity 17

```
5
Lattice="4.3642 0.0000 0.0000 0.0000 4.3642 0.0000 0.0000 0.0000 4.8784" Properties=species:S:1:pos:R:3 pbc="T T T"
Fe 0.0000 0.0000 0.0000
As 2.1821 2.1821 0.0000
Rh 0.0000 2.1821 2.4392
Rh 2.1821 0.0000 2.4392
Cl 2.1821 2.1821 2.4392
```


(9)
Simulated XRD peak list of GaHg3AsSCl4 for Cu Kα, 1.54184 Å, from DFT lattice parameters and positions (PBE).

Main lines, by angle (2θ = 15–90°):
2θ 19.7, d = 4.508 Å, intensity 61; 2θ 27.5, d = 3.243 Å, intensity 64; 2θ 28.5, d = 3.136 Å, intensity 33; 2θ 31.0, d = 2.880 Å, intensity 100; 2θ 40.0, d = 2.254 Å, intensity 58; 2θ 52.1, d = 1.757 Å, intensity 32

```
20
Lattice="7.4895 0.0000 0.0000 -3.7448 6.4861 0.0000 0.0000 0.0000 12.5379" Properties=species:S:1:pos:R:3 pbc="T T T"
Ga 0.0000 0.0000 0.0000
Ga 0.0000 0.0000 6.2689
Hg -1.8542 3.2535 2.5868
Hg 1.8542 3.2535 2.5868
Hg 0.0000 6.4652 2.5868
Hg 3.7448 0.0210 8.8557
Hg 1.8905 3.2326 8.8557
Hg 5.5990 3.2326 8.8557
As 0.0000 4.3241 3.9299
As 3.7448 2.1620 10.1989
S 0.0000 4.3241 7.7049
S 3.7448 2.1620 1.4359
Cl 0.0000 0.0000 2.2293
Cl 0.0000 0.0000 8.4982
Cl 0.0000 2.1026 11.8958
Cl -1.9238 5.4348 11.8958
Cl 1.8209 1.0513 5.6269
Cl 1.9238 5.4348 11.8958
Cl 5.6686 1.0513 5.6269
Cl 3.7448 4.3835 5.6269
```


(10)
Simulated XRD peak list of Ge2AsCl for Cu Kα, 1.54184 Å, from DFT lattice parameters and positions (PBE).

Main lines, by angle (2θ = 15–90°):
2θ 16.7, d = 5.323 Å, intensity 18; 2θ 28.6, d = 3.123 Å, intensity 100; 2θ 35.3, d = 2.544 Å, intensity 52; 2θ 46.0, d = 1.972 Å, intensity 48; 2θ 52.8, d = 1.733 Å, intensity 33; 2θ 76.3, d = 1.248 Å, intensity 18

```
8
Lattice="-3.5974 3.5974 3.9554 3.5974 -3.5974 3.9554 3.5974 3.5974 -3.9554" Properties=species:S:1:pos:R:3 pbc="T T T"
Ge 1.7987 1.5796 -0.9888
Ge 2.0178 -1.7987 4.9442
Ge 1.7987 2.0178 2.9665
Ge 1.5796 5.3960 0.9888
As 0.0000 0.0000 0.0000
As 0.0000 3.5974 1.9777
Cl 3.5974 0.0000 1.9777
Cl 0.0000 0.0000 3.9554
```